For Pm4DyIn3, a crystal structure in Alexandria, relaxed with GGA-PBE gives the theoretical powder XRD pattern in this record (CuKα).

Structure:
```
8
Lattice="2.7380 1.5808 9.1482 -2.7380 1.5808 9.1482 0.0000 -3.1616 9.1482" Properties=species:S:1:pos:R:3 pbc="T T T"
Pm 0.0000 0.0000 3.2082
Pm 0.0000 0.0000 10.1384
Pm 0.0000 0.0000 17.3061
Pm 0.0000 0.0000 24.2363
Dy 0.0000 0.0000 13.7222
In 0.0000 0.0000 0.0000
In 0.0000 0.0000 6.5884
In 0.0000 0.0000 20.8561
```

Most intense lines, 10 to 90 degrees two-theta, by angle:
two_theta, I (rel.)
29.56, 8
32.20, 92
32.71, 100
46.56, 33
57.10, 12
58.06, 34
58.38, 19
68.54, 12
76.94, 10
77.76, 14

For Pm2Pr2Dy2In, a crystal structure in Alexandria, relaxed with GGA-PBE gives the theoretical powder XRD pattern in this record (CuKα).

Structure:
```
14
Lattice="11.8370 0.0000 0.0000 0.0000 3.5762 0.0000 -4.4771 0.0000 10.8626" Properties=species:S:1:pos:R:3 pbc="T T T"
Pm 1.6599 0.0000 0.9283
Pm -0.2185 1.7881 9.9343
Pm 7.5784 1.7881 0.9283
Pm 5.7000 0.0000 9.9343
Pr -3.0139 0.0000 8.1963
Pr 4.4554 1.7881 2.6663
Pr 2.9046 1.7881 8.1963
Pr 10.3739 0.0000 2.6663
Dy 0.1254 0.0000 6.8205
Dy 1.3160 1.7881 4.0422
Dy 6.0439 1.7881 6.8205
Dy 7.2345 0.0000 4.0422
In -2.2385 1.7881 5.4313
In 3.6800 0.0000 5.4313
```

Most intense lines, 10 to 90 degrees two-theta, by angle:
two_theta, I (rel.)
28.42, 24
30.49, 49
30.67, 66
32.70, 100
34.58, 93
52.35, 21
54.53, 20
60.66, 28
60.77, 20
63.14, 19